The following is a theoretical X-ray diffraction stick pattern of TaMn2Cd. It was derived from a DFT-relaxed cell (GGA-PBE, Alexandria), using λ = 1.5418 Å (Cu Kα).
Lines closer than 0.1° are merged.

Atomic structure:
Cell lengths 9.276, 9.276, 9.276 Å; angles 17.97, 17.97, 17.97 degrees
Sites, in units of the cell vectors:
Ta: 0.000 0.000 0.000
Mn: 0.252 0.252 0.252
Mn: 0.518 0.518 0.518
Cd: 0.763 0.763 0.763

Top 10 peaks for 10° ≤ 2θ ≤ 80°, most intense first:
38.20 deg, d = 2.356 Å, rel. 100; 44.79 deg, d = 2.024 Å, rel. 57; 39.50 deg, d = 2.281 Å, rel. 44; 29.37 deg, d = 3.041 Å, rel. 23; 64.29 deg, d = 1.449 Å, rel. 21; 78.15 deg, d = 1.223 Å, rel. 21; 35.93 deg, d = 2.499 Å, rel. 16; 57.10 deg, d = 1.613 Å, rel. 14; 77.31 deg, d = 1.234 Å, rel. 12; 66.10 deg, d = 1.414 Å, rel. 11

***

The following is a theoretical X-ray diffraction stick pattern of Nb6ZnOs. It was derived from a DFT-relaxed cell (GGA-PBE, Alexandria), using λ = 1.5418 Å (Cu Kα).
Lines closer than 0.1° are merged.

Atomic structure:
Cell lengths 7.155, 7.155, 7.155 Å; angles 141.84, 141.84, 55.07 degrees
Sites, in units of the cell vectors:
Nb: 0.123 0.623 0.500
Nb: 0.247 0.247 0.000
Nb: 0.377 0.877 0.500
Nb: 0.623 0.123 0.500
Nb: 0.753 0.753 0.000
Nb: 0.877 0.377 0.500
Zn: 0.000 0.000 0.000
Os: 0.500 0.500 0.000

Top 10 peaks for 10° ≤ 2θ ≤ 80°, most intense first:
39.35 deg, d = 2.290 Å, rel. 100; 38.49 deg, d = 2.339 Å, rel. 53; 70.20 deg, d = 1.341 Å, rel. 35; 55.56 deg, d = 1.654 Å, rel. 18; 71.92 deg, d = 1.313 Å, rel. 16; 20.23 deg, d = 4.389 Å, rel. 10; 58.16 deg, d = 1.586 Å, rel. 8; 28.45 deg, d = 3.138 Å, rel. 5; 43.86 deg, d = 2.064 Å, rel. 3; 48.55 deg, d = 1.875 Å, rel. 3

***

The following is a theoretical X-ray diffraction stick pattern of La3InCo. It was derived from a DFT-relaxed cell (GGA-PBE, Alexandria), using λ = 1.5418 Å (Cu Kα).
Lines closer than 0.1° are merged.

Atomic structure:
Cell lengths 6.065, 6.980, 7.017 Å; angles 74.27, 86.87, 81.21 degrees
Sites, in units of the cell vectors:
La: 0.000 0.000 0.000
La: 0.026 0.986 0.510
La: 0.056 0.528 0.892
La: 0.467 0.218 0.716
La: 0.525 0.780 0.298
La: 0.604 0.335 0.201
In: 0.057 0.499 0.382
In: 0.538 0.724 0.785
Co: 0.222 0.180 0.187
Co: 0.788 0.376 0.711

Top 10 peaks for 10° ≤ 2θ ≤ 80°, most intense first:
32.62 deg, d = 2.745 Å, rel. 100; 29.82 deg, d = 2.996 Å, rel. 71; 30.20 deg, d = 2.959 Å, rel. 63; 28.78 deg, d = 3.102 Å, rel. 60; 32.37 deg, d = 2.766 Å, rel. 54; 30.57 deg, d = 2.925 Å, rel. 49; 32.80 deg, d = 2.731 Å, rel. 43; 31.38 deg, d = 2.851 Å, rel. 36; 41.40 deg, d = 2.181 Å, rel. 29; 52.24 deg, d = 1.751 Å, rel. 25

***

The following is a theoretical X-ray diffraction stick pattern of K2TiCl6. It was derived from a DFT-relaxed cell (GGA-PBE, Alexandria), using λ = 1.5418 Å (Cu Kα).
Lines closer than 0.1° are merged.

Atomic structure:
Cell lengths 7.090, 7.090, 7.090 Å; angles 60.00, 60.00, 60.00 degrees
Sites, in units of the cell vectors:
K: 0.250 0.250 0.250
K: 0.750 0.750 0.750
Ti: 0.000 0.000 0.000
Cl: 0.235 0.235 0.765
Cl: 0.235 0.765 0.235
Cl: 0.235 0.765 0.765
Cl: 0.765 0.235 0.235
Cl: 0.765 0.235 0.765
Cl: 0.765 0.765 0.235

Top 10 peaks for 10° ≤ 2θ ≤ 80°, most intense first:
30.90 deg, d = 2.894 Å, rel. 100; 35.83 deg, d = 2.507 Å, rel. 91; 51.57 deg, d = 1.772 Å, rel. 54; 15.31 deg, d = 5.789 Å, rel. 46; 61.33 deg, d = 1.511 Å, rel. 29; 64.38 deg, d = 1.447 Å, rel. 17; 25.12 deg, d = 3.545 Å, rel. 15; 47.10 deg, d = 1.930 Å, rel. 12; 29.55 deg, d = 3.023 Å, rel. 9; 17.69 deg, d = 5.013 Å, rel. 9

***

Question: Number 2 is which compound?
Answer: Nb6ZnOs